1.
For Tm5Ga2Te2, a PBE-relaxed structure gives the calculated PXRD pattern in this record (copper Kα).
Neutral-atom scattering factors, no anomalous dispersion.

Crystal structure
```
Tm5Ga2Te2
1.0
7.575 -3.888 0.000
7.575 3.888 0.000
0.000 0.000 7.805
Tm Ga Te
10 4 4
Direct
0.000 0.000 0.000
0.040 0.707 0.668
0.207 0.540 0.168
0.293 0.960 0.668
0.460 0.793 0.168
0.500 0.500 0.500
0.540 0.207 0.832
0.707 0.040 0.332
0.793 0.460 0.832
0.960 0.293 0.332
0.130 0.870 0.372
0.370 0.630 0.872
0.630 0.370 0.128
0.870 0.130 0.628
0.206 0.206 0.000
0.294 0.294 0.500
0.706 0.706 0.500
0.794 0.794 0.000
```

Main lines, in order of falling intensity (5 to 70 degrees two-theta):
Position (°2θ)  I/Imax
32.99  1000
35.02  848
31.17  681
36.91  586
37.02  584
33.76  515
32.51  478
25.60  411
67.39  341
39.39  329

***

2.
For TmGa2Te4, a PBE-relaxed structure gives the calculated PXRD pattern in this record (copper Kα).
Neutral-atom scattering factors, no anomalous dispersion.

Crystal structure
```
TmGa2Te4
1.0
6.205 0.000 0.000
0.000 6.205 0.000
0.000 0.000 6.628
Tm Ga Te
1 2 4
Direct
0.000 0.000 0.000
0.000 0.500 0.500
0.500 0.000 0.500
0.274 0.274 0.253
0.274 0.726 0.747
0.726 0.274 0.747
0.726 0.726 0.253
```

Main lines, in order of falling intensity (5 to 70 degrees two-theta):
Position (°2θ)  I/Imax
24.33  1000
39.80  506
48.37  273
41.14  219
45.99  194
63.39  162
19.60  142
35.05  111
30.58  96
32.26  82

***

3.
For TmGaTe3, a PBE-relaxed structure gives the calculated PXRD pattern in this record (copper Kα).
Neutral-atom scattering factors, no anomalous dispersion.

Crystal structure
```
TmGaTe3
1.0
8.331 0.000 0.000
0.000 11.629 0.000
0.000 0.000 7.342
Tm Ga Te
4 4 12
Direct
0.000 0.000 0.000
0.000 0.500 0.000
0.500 0.000 0.500
0.500 0.500 0.500
0.166 0.250 0.463
0.334 0.750 0.963
0.666 0.250 0.037
0.834 0.750 0.537
0.002 0.750 0.855
0.181 0.062 0.656
0.181 0.438 0.656
0.319 0.562 0.156
0.319 0.938 0.156
0.498 0.250 0.355
0.502 0.750 0.645
0.681 0.062 0.844
0.681 0.438 0.844
0.819 0.562 0.344
0.819 0.938 0.344
0.998 0.250 0.145
```

Main lines, in order of falling intensity (5 to 70 degrees two-theta):
Position (°2θ)  I/Imax
34.53  1000
25.99  967
41.48  902
30.75  898
16.09  719
36.09  661
17.82  632
47.27  517
46.90  466
25.75  420